(1)
Diffraction record for Nd3Sm8Tm. The PXRD pattern is calculated, not measured: it uses a crystal structure in Alexandria, relaxed with GGA-PBE and Cu Kα X-rays.

Structure:
Lattice parameters (Å, degrees): 6.365 8.622 8.643 85.30 68.42 68.51
Space group P1 (No. 1)
Unique sites:
Nd (0.000, 0.000, 0.000) [1 per cell]
Nd (0.001, 0.497, 0.502) [1 per cell]
Nd (0.667, 0.751, 0.253) [1 per cell]
Sm (0.002, 0.920, 0.422) [1 per cell]
Sm (0.003, 0.417, 0.919) [1 per cell]
Sm (0.335, 0.085, 0.587) [1 per cell]
Sm (0.337, 0.166, 0.165) [1 per cell]
Sm (0.337, 0.663, 0.669) [1 per cell]
Sm (0.339, 0.582, 0.084) [1 per cell]
Sm (0.669, 0.331, 0.337) [1 per cell]
Sm (0.669, 0.835, 0.833) [1 per cell]
Tm (0.667, 0.251, 0.753) [1 per cell]

Top 10 peaks for 2θ from 15° to 90°, low angle first:
index	Position (°2θ)	Rel. int.
1 2 2	28.07	28.0
0 2 -2	30.57	29.9
2 2 0	32.03	100.0
1 3 1	32.11	19.1
1 0 4	41.96	15.5
3 3 3	49.71	15.5
2 -2 4	55.23	12.7
2 4 -2	55.32	12.7
3 2 -2	59.38	9.1
4 1 3	60.29	12.6

---

(2)
Diffraction record for Sr2Mg17Al3. The PXRD pattern is calculated, not measured: it uses a crystal structure in Alexandria, relaxed with GGA-PBE and Cu Kα X-rays.

Structure:
Lattice parameters (Å, degrees): 11.2216 11.2216 16.0754 90.00 90.00 120.00
Space group R-3m (No. 166, hexagonal axes)
Unique sites:
Sr (0.0000, 0.0000, 0.1574) [6 per cell]
Mg (0.0000, 0.0000, 0.3989) [6 per cell]
Mg (0.0000, 0.2597, 0.5000) [18 per cell]
Mg (0.0000, 0.5000, 0.0000) [9 per cell]
Mg (0.0044, 0.5022, 0.6715) [18 per cell]
Al (0.0000, 0.5000, 0.5000) [9 per cell]

Top 10 peaks for 2θ from 15° to 90°, low angle first:
index	Position (°2θ)	Rel. int.
1 1 3	22.95	42.4
2 1 1	24.87	23.5
3 0 0	27.54	23.0
2 2 0	31.90	100.0
3 0 3	32.29	62.2
2 1 4	33.04	46.3
0 0 6	33.44	43.4
1 4 3	46.03	33.4
3 2 4	46.61	29.5
2 2 6	46.89	44.2

---

(3)
Diffraction record for NaRuCO4. The PXRD pattern is calculated, not measured: it uses a crystal structure in Alexandria, relaxed with GGA-PBE and Cu Kα X-rays.

Structure:
Lattice parameters (Å, degrees): 4.976 8.153 6.547 90.00 90.00 90.00
Space group Cmcm (No. 63)
Unique sites:
Na (0.000, 0.181, 0.250) [4 per cell]
Ru (0.000, 0.500, 0.000) [4 per cell]
C (0.000, 0.172, 0.750) [4 per cell]
O (0.000, 0.255, 0.576) [8 per cell]
O (0.243, 0.057, 0.750) [8 per cell]

Top 10 peaks for 2θ from 15° to 90°, low angle first:
index	Position (°2θ)	Rel. int.
1 1 0	20.91	94.7
0 2 0	21.80	29.1
1 1 2	34.59	100.0
0 2 2	35.16	21.3
2 0 0	36.10	29.3
1 3 0	37.71	48.0
2 0 2	45.81	21.4
2 2 2	51.28	36.3
2 4 2	65.73	16.7
1 5 2	66.79	16.2

---

(4)
Diffraction record for Ag2BrO4. The PXRD pattern is calculated, not measured: it uses a crystal structure in Alexandria, relaxed with GGA-PBE and Cu Kα X-rays.

Structure:
Lattice parameters (Å, degrees): 6.518 6.468 6.039 90.00 122.22 90.00
Space group Cm (No. 8)
Unique sites:
Ag (0.000, 0.249, 0.000) [4 per cell]
Br (0.492, 0.000, 0.507) [2 per cell]
O (0.222, 0.500, 0.939) [2 per cell]
O (0.315, 0.000, 0.125) [2 per cell]
O (0.348, 0.211, 0.522) [4 per cell]

Top 10 peaks for 2θ from 15° to 90°, low angle first:
index	Position (°2θ)	Rel. int.
0 0 1	17.36	59.2
1 1 -1	21.22	78.3
2 0 0	32.47	50.8
2 0 -2	32.70	51.8
0 2 1	32.78	87.9
0 0 2	35.13	68.3
2 2 -1	39.25	100.0
2 2 1	53.53	32.9
2 2 -3	53.84	36.3
2 0 -4	61.58	25.4

---

(5)
Diffraction record for K3AsCl6. The PXRD pattern is calculated, not measured: it uses a crystal structure in Alexandria, relaxed with GGA-PBE and Cu Kα X-rays.

Structure:
Lattice parameters (Å, degrees): 7.402 7.817 12.944 90.00 124.64 90.00
Space group P2_1/c (No. 14)
Unique sites:
K (0.000, 0.000, 0.000) [2 per cell]
K (0.275, 0.074, 0.749) [4 per cell]
As (0.500, 0.000, 0.500) [2 per cell]
Cl (0.162, 0.044, 0.279) [4 per cell]
Cl (0.279, 0.675, 0.055) [4 per cell]
Cl (0.404, 0.229, 0.067) [4 per cell]

Top 10 peaks for 2θ from 15° to 90°, low angle first:
index	Position (°2θ)	Rel. int.
1 1 -1	16.49	50.4
1 1 -3	23.52	100.0
1 0 2	27.87	41.0
2 1 -3	27.97	35.8
1 1 2	30.15	26.4
2 2 -2	33.34	64.7
0 0 4	33.66	35.3
2 2 -4	37.55	52.6
0 2 4	41.02	26.7
3 1 -5	42.05	41.6

---

(6)
Diffraction record for YbPd3. The PXRD pattern is calculated, not measured: it uses a crystal structure in Alexandria, relaxed with GGA-PBE and Cu Kα X-rays.

Structure:
Lattice parameters (Å, degrees): 4.125 4.125 4.125 90.00 90.00 90.00
Space group Pm-3m (No. 221)
Unique sites:
Yb (0.000, 0.000, 0.000) [1 per cell]
Pd (0.000, 0.500, 0.500) [3 per cell]

Top 10 peaks for 2θ from 15° to 90°, low angle first:
index	Position (°2θ)	Rel. int.
1 0 0	21.54	4.6
1 1 0	30.65	4.0
1 1 1	37.78	100.0
2 0 0	43.90	49.0
2 1 0	49.41	2.3
2 1 1	54.49	1.8
2 2 0	63.83	31.8
3 0 0	68.21	1.2
3 1 1	76.62	37.2
2 2 2	80.70	10.8

---

(7)
Diffraction record for Nd6Fe13Cu. The PXRD pattern is calculated, not measured: it uses a crystal structure in Alexandria, relaxed with GGA-PBE and Cu Kα X-rays.

Structure:
Lattice parameters (Å, degrees): 8.033 8.033 22.761 90.00 90.00 90.00
Space group I4/mcm (No. 140)
Unique sites:
Nd (0.000, 0.000, 0.108) [8 per cell]
Nd (0.164, 0.336, 0.188) [16 per cell]
Fe (0.000, 0.500, 0.000) [4 per cell]
Fe (0.067, 0.209, 0.500) [16 per cell]
Fe (0.114, 0.386, 0.404) [16 per cell]
Fe (0.179, 0.321, 0.060) [16 per cell]
Cu (0.000, 0.000, 0.250) [4 per cell]

Top 10 peaks for 2θ from 15° to 90°, low angle first:
index	Position (°2θ)	Rel. int.
2 1 3	27.47	61.6
2 2 0	31.50	23.9
2 1 5	31.73	66.6
3 1 0	35.32	100.0
2 1 7	37.30	21.0
2 0 8	38.80	79.3
0 0 10	39.61	27.7
2 1 9	43.78	31.9
4 1 1	46.80	32.2
3 3 8	58.56	29.2

---

(8)
Diffraction record for NbVCrCuSi. The PXRD pattern is calculated, not measured: it uses a crystal structure in Alexandria, relaxed with GGA-PBE and Cu Kα X-rays.

Structure:
Lattice parameters (Å, degrees): 3.351 3.687 5.657 90.00 90.00 90.00
Space group Pmm2 (No. 25)
Unique sites:
Nb (0.000, 0.000, 0.000) [1 per cell]
V (0.500, 0.000, 0.469) [1 per cell]
Cr (0.000, 0.500, 0.464) [1 per cell]
Cu (0.500, 0.500, 0.778) [1 per cell]
Si (0.500, 0.500, 0.167) [1 per cell]

Top 10 peaks for 2θ from 15° to 90°, low angle first:
index	Position (°2θ)	Rel. int.
0 1 1	28.90	15.3
1 0 1	31.02	11.8
0 0 2	31.63	12.4
1 1 1	39.68	100.0
0 1 2	40.18	26.8
1 0 2	41.79	25.0
0 2 0	49.44	20.8
0 1 3	54.67	10.4
2 0 0	54.79	15.0
1 2 2	66.68	11.7

---

(9)
Diffraction record for K3OsBr7. The PXRD pattern is calculated, not measured: it uses a crystal structure in Alexandria, relaxed with GGA-PBE and Cu Kα X-rays.

Structure:
Lattice parameters (Å, degrees): 9.715 10.450 8.048 90.00 103.24 90.00
Space group Cm (No. 8)
Unique sites:
K (0.000, 0.000, 0.000) [2 per cell]
K (0.008, 0.282, 0.553) [4 per cell]
Os (0.480, 0.000, 0.047) [2 per cell]
Br (0.131, 0.328, 0.209) [4 per cell]
Br (0.138, 0.500, 0.839) [2 per cell]
Br (0.325, 0.169, 0.875) [4 per cell]
Br (0.327, 0.000, 0.267) [2 per cell]
Br (0.414, 0.500, 0.590) [2 per cell]

Top 10 peaks for 2θ from 15° to 90°, low angle first:
index	Position (°2θ)	Rel. int.
1 1 -1	15.46	87.3
1 1 1	18.36	84.7
2 0 -2	26.01	87.9
2 2 1	29.63	100.0
1 3 1	30.46	89.6
3 1 -2	33.27	42.4
0 4 0	34.33	39.3
2 2 2	37.21	54.7
4 2 -1	41.08	40.1
0 6 0	52.54	43.5

---

(10)
Diffraction record for Cu2MoIr. The PXRD pattern is calculated, not measured: it uses a crystal structure in Alexandria, relaxed with GGA-PBE and Cu Kα X-rays.

Structure:
Lattice parameters (Å, degrees): 8.849 2.756 4.602 90.00 101.16 90.00
Space group Cm (No. 8)
Unique sites:
Cu (0.000, 0.000, 0.000) [2 per cell]
Cu (0.246, 0.500, 0.204) [2 per cell]
Mo (0.244, 0.000, 0.707) [2 per cell]
Ir (0.491, 0.000, 0.494) [2 per cell]

Top 10 peaks for 2θ from 15° to 90°, low angle first:
index	Position (°2θ)	Rel. int.
0 0 1	19.66	28.5
2 0 -1	25.57	12.9
1 1 0	34.13	14.0
1 1 1	40.74	100.0
2 0 -2	41.35	45.6
4 0 0	41.61	47.5
3 1 -1	47.28	64.3
2 0 2	48.94	27.8
1 1 -3	70.23	17.0
5 1 1	70.59	20.3

---

(11)
Diffraction record for MnSbS2. The PXRD pattern is calculated, not measured: it uses a crystal structure in Alexandria, relaxed with GGA-PBE and Cu Kα X-rays.

Structure:
Lattice parameters (Å, degrees): 6.050 3.252 8.046 90.00 96.76 90.00
Space group P2 (No. 3)
Unique sites:
Mn (0.000, 0.000, 0.000) [1 per cell]
Mn (0.500, 0.498, 0.000) [1 per cell]
Sb (0.250, 0.750, 0.500) [2 per cell]
S (0.199, 0.508, 0.162) [2 per cell]
S (0.301, 0.989, 0.838) [2 per cell]

Top 10 peaks for 2θ from 15° to 90°, low angle first:
index	Position (°2θ)	Rel. int.
0 0 2	22.25	100.0
0 1 0	27.42	42.8
0 1 1	29.68	95.1
2 0 -1	30.54	70.3
1 1 1	33.88	30.7
0 1 2	35.60	38.9
1 1 2	39.78	28.8
2 1 0	40.90	29.0
2 0 -3	42.64	44.1
2 0 3	48.26	28.3